The following is a theoretical XRD peak list of Ac4Pm5. It was derived from DFT lattice parameters and positions (GGA-PBE), using a wavelength of 1.5418 Å.

Main lines, by angle (5° ≤ 2θ ≤ 70°):
28.74 deg, d 3.107, rel. 100; 33.10 deg, d 2.706, rel. 35; 33.70 deg, d 2.660, rel. 16; 47.41 deg, d 1.917, rel. 6; 47.62 deg, d 1.910, rel. 7; 47.96 deg, d 1.897, rel. 25; 56.41 deg, d 1.631, rel. 15; 56.55 deg, d 1.627, rel. 15; 57.26 deg, d 1.609, rel. 14; 59.42 deg, d 1.555, rel. 7

Atomic structure:
a b c (Å): 10.0083 10.0083 10.0083
angles (deg): 157.91 110.16 74.26
Positions (direct):
Ac1 0.0057 0.8373 0.1684
Ac2 0.3311 0.1627 0.1684
Ac3 0.6689 0.8373 0.8316
Ac4 0.9943 0.1627 0.8316
Pm1 0.0000 0.5000 0.5000
Pm2 0.3363 0.8363 0.5000
Pm3 0.3426 0.5000 0.8426
Pm4 0.6574 0.5000 0.1574
Pm5 0.6637 0.1637 0.5000



The following is a theoretical XRD peak list of Ac2Pm. It was derived from DFT lattice parameters and positions (GGA-PBE), using a wavelength of 1.5418 Å.

Main lines, by angle (5° ≤ 2θ ≤ 70°):
23.40 deg, d 3.801, rel. 3; 28.14 deg, d 3.171, rel. 100; 32.39 deg, d 2.764, rel. 35; 33.04 deg, d 2.711, rel. 16; 46.46 deg, d 1.955, rel. 13; 46.95 deg, d 1.935, rel. 25; 55.20 deg, d 1.664, rel. 32; 56.06 deg, d 1.640, rel. 14; 58.19 deg, d 1.585, rel. 13; 67.80 deg, d 1.382, rel. 4

Atomic structure:
a b c (Å): 8.5893 8.5893 8.5893
angles (deg): 153.69 153.69 37.55
Positions (direct):
Ac1 0.1612 0.1612 0.0000
Ac2 0.8388 0.8388 0.0000
Pm1 0.5000 0.5000 0.0000



The following is a theoretical XRD peak list of Ac3Pm. It was derived from DFT lattice parameters and positions (GGA-PBE), using a wavelength of 1.5418 Å.

Main lines, by angle (5° ≤ 2θ ≤ 70°):
24.04 deg, d 3.702, rel. 3; 27.94 deg, d 3.193, rel. 100; 32.17 deg, d 2.782, rel. 35; 32.78 deg, d 2.732, rel. 16; 46.14 deg, d 1.967, rel. 13; 46.59 deg, d 1.949, rel. 24; 54.81 deg, d 1.675, rel. 32; 55.60 deg, d 1.653, rel. 14; 57.75 deg, d 1.596, rel. 13; 67.31 deg, d 1.391, rel. 4

Atomic structure:
a b c (Å): 3.9344 3.9344 10.9289
angles (deg): 90.00 90.00 90.00
Positions (direct):
Ac1 0.0000 0.0000 0.0000
Ac2 0.5000 0.5000 0.2629
Ac3 0.5000 0.5000 0.7371
Pm1 0.0000 0.0000 0.5000



The following is a theoretical XRD peak list of Ac3Pm. It was derived from DFT lattice parameters and positions (GGA-PBE), using a wavelength of 1.5418 Å.

Main lines, by angle (5° ≤ 2θ ≤ 70°):
26.08 deg, d 3.417, rel. 23; 28.22 deg, d 3.162, rel. 25; 29.72 deg, d 3.006, rel. 100; 38.80 deg, d 2.321, rel. 17; 46.01 deg, d 1.973, rel. 21; 50.90 deg, d 1.794, rel. 23; 54.85 deg, d 1.674, rel. 25; 55.74 deg, d 1.649, rel. 18; 61.72 deg, d 1.503, rel. 4; 65.00 deg, d 1.435, rel. 4

Atomic structure:
a b c (Å): 7.8906 7.8906 6.3240
angles (deg): 90.00 90.00 120.00
Positions (direct):
Ac1 0.1691 0.3381 0.2500
Ac2 0.1691 0.8309 0.2500
Ac3 0.3381 0.1691 0.7500
Ac4 0.6619 0.8309 0.2500
Ac5 0.8309 0.1691 0.7500
Ac6 0.8309 0.6619 0.7500
Pm1 0.3333 0.6667 0.7500
Pm2 0.6667 0.3333 0.2500



The following is a theoretical XRD peak list of Ac5Pm4. It was derived from DFT lattice parameters and positions (GGA-PBE), using a wavelength of 1.5418 Å.

Main lines, by angle (5° ≤ 2θ ≤ 70°):
23.76 deg, d 3.745, rel. 3; 28.43 deg, d 3.139, rel. 100; 32.85 deg, d 2.727, rel. 17; 32.99 deg, d 2.715, rel. 34; 47.25 deg, d 1.924, rel. 25; 47.35 deg, d 1.920, rel. 12; 55.97 deg, d 1.643, rel. 15; 56.16 deg, d 1.638, rel. 30; 58.83 deg, d 1.570, rel. 13; 69.21 deg, d 1.357, rel. 4

Atomic structure:
a b c (Å): 8.5888 8.5888 8.5888
angles (deg): 95.78 95.78 142.98
Positions (direct):
Ac1 0.0000 0.0000 0.0000
Ac2 0.3314 0.3314 0.6629
Ac3 0.3314 0.6686 0.0000
Ac4 0.6686 0.3314 0.0000
Ac5 0.6686 0.6686 0.3371
Pm1 0.0000 0.3417 0.3417
Pm2 0.0000 0.6583 0.6583
Pm3 0.3417 0.0000 0.3417
Pm4 0.6583 0.0000 0.6583



The following is a theoretical XRD peak list of AcPm3. It was derived from DFT lattice parameters and positions (GGA-PBE), using a wavelength of 1.5418 Å.

Main lines, by angle (5° ≤ 2θ ≤ 70°):
18.75 deg, d 4.732, rel. 3; 29.26 deg, d 3.052, rel. 100; 33.84 deg, d 2.649, rel. 34; 34.06 deg, d 2.632, rel. 17; 38.97 deg, d 2.311, rel. 1; 48.61 deg, d 1.873, rel. 12; 48.78 deg, d 1.867, rel. 25; 57.75 deg, d 1.596, rel. 30; 58.05 deg, d 1.589, rel. 15; 60.68 deg, d 1.526, rel. 13

Atomic structure:
a b c (Å): 6.4608 6.4608 6.4608
angles (deg): 131.59 131.59 70.88
Positions (direct):
Ac1 0.0000 0.0000 0.0000
Pm1 0.2500 0.7500 0.5000
Pm2 0.5000 0.5000 0.0000
Pm3 0.7500 0.2500 0.5000



The following is a theoretical XRD peak list of Ac5Pm4Pr2. It was derived from DFT lattice parameters and positions (GGA-PBE), using a wavelength of 1.5418 Å.

Main lines, by angle (5° ≤ 2θ ≤ 70°):
23.88 deg, d 3.727, rel. 22; 26.59 deg, d 3.353, rel. 28; 27.78 deg, d 3.211, rel. 24; 29.08 deg, d 3.071, rel. 82; 29.21 deg, d 3.058, rel. 100; 29.44 deg, d 3.034, rel. 68; 30.67 deg, d 2.915, rel. 43; 32.05 deg, d 2.793, rel. 43; 38.01 deg, d 2.367, rel. 25; 57.92 deg, d 1.592, rel. 52

Atomic structure:
a b c (Å): 9.3660 3.7269 12.6617
angles (deg): 90.00 92.35 90.00
Positions (direct):
Ac1 0.0000 0.0000 0.0000
Ac2 0.1986 0.0000 0.5245
Ac3 0.2776 0.0000 0.8133
Ac4 0.7224 0.0000 0.1867
Ac5 0.8014 0.0000 0.4755
Pm1 0.0760 0.5000 0.2682
Pm2 0.4639 0.5000 0.3569
Pm3 0.5361 0.5000 0.6431
Pm4 0.9240 0.5000 0.7318
Pr1 0.3523 0.0000 0.1194
Pr2 0.6477 0.0000 0.8806



The following is a theoretical XRD peak list of Ac10PmPr4. It was derived from DFT lattice parameters and positions (GGA-PBE), using a wavelength of 1.5418 Å.

Main lines, by angle (5° ≤ 2θ ≤ 70°):
18.46 deg, d 4.805, rel. 14; 21.35 deg, d 4.162, rel. 30; 30.37 deg, d 2.943, rel. 100; 35.78 deg, d 2.510, rel. 8; 37.43 deg, d 2.403, rel. 10; 43.44 deg, d 2.083, rel. 13; 43.59 deg, d 2.076, rel. 6; 48.90 deg, d 1.863, rel. 10; 53.97 deg, d 1.699, rel. 41; 63.23 deg, d 1.471, rel. 9

Atomic structure:
a b c (Å): 10.1994 10.1994 10.1994
angles (deg): 99.54 99.54 131.95
Positions (direct):
Ac1 0.0498 0.1496 0.7008
Ac2 0.1496 0.4488 0.0998
Ac3 0.2500 0.7500 0.5000
Ac4 0.3490 0.0498 0.9002
Ac5 0.4488 0.3490 0.2992
Ac6 0.5512 0.6510 0.7008
Ac7 0.6510 0.9502 0.0998
Ac8 0.7500 0.2500 0.5000
Ac9 0.8504 0.5512 0.9002
Ac10 0.9502 0.8504 0.2992
Pm1 0.0000 0.0000 0.0000
Pr1 0.1999 0.6000 0.7999
Pr2 0.4000 0.1999 0.5999
Pr3 0.6000 0.8001 0.4001
Pr4 0.8001 0.4000 0.2001



The following is a theoretical XRD peak list of Ac3Pm2Pr8. It was derived from DFT lattice parameters and positions (GGA-PBE), using a wavelength of 1.5418 Å.

Main lines, by angle (5° ≤ 2θ ≤ 70°):
23.39 deg, d 3.804, rel. 21; 28.05 deg, d 3.181, rel. 40; 29.34 deg, d 3.044, rel. 26; 30.28 deg, d 2.951, rel. 43; 31.53 deg, d 2.837, rel. 100; 33.27 deg, d 2.693, rel. 13; 33.63 deg, d 2.665, rel. 14; 38.62 deg, d 2.331, rel. 15; 54.54 deg, d 1.683, rel. 11; 63.10 deg, d 1.473, rel. 14

Atomic structure:
a b c (Å): 11.4103 11.4103 5.9025
angles (deg): 90.17 90.17 41.82
Positions (direct):
Ac1 0.0000 0.0000 0.0000
Ac2 0.2859 0.7141 0.5000
Ac3 0.7141 0.2859 0.5000
Pm1 0.2398 0.2398 0.9945
Pm2 0.7602 0.7602 0.0055
Pr1 0.1356 0.1356 0.4980
Pr2 0.1853 0.5890 0.9986
Pr3 0.3211 0.3211 0.4956
Pr4 0.4110 0.8147 0.0014
Pr5 0.5890 0.1853 0.9986
Pr6 0.6789 0.6789 0.5044
Pr7 0.8147 0.4110 0.0014
Pr8 0.8644 0.8644 0.5020



The following is a theoretical XRD peak list of AcPm5Pr12. It was derived from DFT lattice parameters and positions (GGA-PBE), using a wavelength of 1.5418 Å.

Main lines, by angle (5° ≤ 2θ ≤ 70°):
28.96 deg, d 3.083, rel. 49; 29.86 deg, d 2.992, rel. 59; 30.71 deg, d 2.912, rel. 99; 30.91 deg, d 2.893, rel. 100; 33.51 deg, d 2.674, rel. 14; 42.08 deg, d 2.147, rel. 35; 46.10 deg, d 1.969, rel. 16; 53.54 deg, d 1.712, rel. 20; 53.67 deg, d 1.708, rel. 20; 55.90 deg, d 1.645, rel. 18

Atomic structure:
a b c (Å): 10.7462 10.7462 6.1655
angles (deg): 90.29 90.29 113.31
Positions (direct):
Ac1 0.0000 0.0000 0.0000
Pm1 0.1682 0.8318 0.5000
Pm2 0.3232 0.6768 0.0000
Pm3 0.5000 0.5000 0.5000
Pm4 0.6768 0.3232 0.0000
Pm5 0.8318 0.1682 0.5000
Pr1 0.0191 0.3499 0.9383
Pr2 0.1576 0.4910 0.4413
Pr3 0.1787 0.1787 0.5338
Pr4 0.3390 0.3390 0.0333
Pr5 0.3499 0.0191 0.9383
Pr6 0.4910 0.1576 0.4413
Pr7 0.5090 0.8424 0.5587
Pr8 0.6501 0.9809 0.0617
Pr9 0.6610 0.6610 0.9667
Pr10 0.8213 0.8213 0.4662
Pr11 0.8424 0.5090 0.5587
Pr12 0.9809 0.6501 0.0617



The following is a theoretical XRD peak list of AcPm4Pr5. It was derived from DFT lattice parameters and positions (GGA-PBE), using a wavelength of 1.5418 Å.

Main lines, by angle (5° ≤ 2θ ≤ 70°):
27.50 deg, d 3.243, rel. 1; 29.39 deg, d 3.039, rel. 100; 33.93 deg, d 2.642, rel. 35; 34.33 deg, d 2.612, rel. 16; 48.74 deg, d 1.868, rel. 13; 49.04 deg, d 1.857, rel. 23; 55.01 deg, d 1.669, rel. 1; 57.94 deg, d 1.592, rel. 30; 58.48 deg, d 1.578, rel. 12; 60.97 deg, d 1.520, rel. 12

Atomic structure:
a b c (Å): 3.7365 3.7365 26.1192
angles (deg): 90.00 90.00 90.00
Positions (direct):
Ac1 0.0000 0.0000 0.0000
Pm1 0.0000 0.0000 0.2054
Pm2 0.0000 0.0000 0.4017
Pm3 0.0000 0.0000 0.5983
Pm4 0.0000 0.0000 0.7946
Pr1 0.5000 0.5000 0.1072
Pr2 0.5000 0.5000 0.3037
Pr3 0.5000 0.5000 0.5000
Pr4 0.5000 0.5000 0.6963
Pr5 0.5000 0.5000 0.8928



The following is a theoretical XRD peak list of Ac3Pm5Pr3. It was derived from DFT lattice parameters and positions (GGA-PBE), using a wavelength of 1.5418 Å.

Main lines, by angle (5° ≤ 2θ ≤ 70°):
10.44 deg, d 8.470, rel. 44; 18.14 deg, d 4.890, rel. 45; 23.30 deg, d 3.817, rel. 49; 25.60 deg, d 3.480, rel. 76; 29.25 deg, d 3.053, rel. 72; 31.55 deg, d 2.835, rel. 100; 31.69 deg, d 2.823, rel. 58; 35.01 deg, d 2.563, rel. 46; 41.17 deg, d 2.192, rel. 60; 43.67 deg, d 2.073, rel. 48

Atomic structure:
a b c (Å): 9.7800 9.7800 6.1069
angles (deg): 90.00 90.00 120.00
Positions (direct):
Ac1 0.0000 0.4254 0.0000
Ac2 0.4254 0.0000 0.0000
Ac3 0.5746 0.5746 0.0000
Pm1 0.0000 0.6337 0.5000
Pm2 0.3333 0.6667 0.5000
Pm3 0.3663 0.3663 0.5000
Pm4 0.6337 0.0000 0.5000
Pm5 0.6667 0.3333 0.5000
Pr1 0.0000 0.2651 0.5000
Pr2 0.2651 0.0000 0.5000
Pr3 0.7349 0.7349 0.5000



The following is a theoretical XRD peak list of Ac2Pm4Pr5. It was derived from DFT lattice parameters and positions (GGA-PBE), using a wavelength of 1.5418 Å.

Main lines, by angle (5° ≤ 2θ ≤ 70°):
29.20 deg, d 3.058, rel. 100; 29.31 deg, d 3.048, rel. 33; 33.88 deg, d 2.646, rel. 68; 48.60 deg, d 1.874, rel. 25; 48.73 deg, d 1.869, rel. 24; 57.69 deg, d 1.598, rel. 20; 57.77 deg, d 1.596, rel. 20; 57.86 deg, d 1.594, rel. 15; 57.96 deg, d 1.591, rel. 5; 60.55 deg, d 1.529, rel. 13

Atomic structure:
a b c (Å): 6.4700 8.3596 8.3798
angles (deg): 107.51 97.32 104.76
Positions (direct):
Ac1 0.1372 0.0463 0.2313
Ac2 0.8628 0.9537 0.7687
Pm1 0.0489 0.6762 0.4088
Pm2 0.3192 0.7688 0.8626
Pm3 0.6808 0.2312 0.1374
Pm4 0.9511 0.3238 0.5913
Pr1 0.2264 0.4133 0.0454
Pr2 0.4103 0.1397 0.6847
Pr3 0.5000 0.5000 0.5000
Pr4 0.5897 0.8603 0.3153
Pr5 0.7736 0.5867 0.9546



The following is a theoretical XRD peak list of AcPm4Pr. It was derived from DFT lattice parameters and positions (GGA-PBE), using a wavelength of 1.5418 Å.

Main lines, by angle (5° ≤ 2θ ≤ 70°):
29.39 deg, d 3.039, rel. 100; 29.48 deg, d 3.030, rel. 99; 34.02 deg, d 2.635, rel. 68; 34.32 deg, d 2.613, rel. 33; 49.05 deg, d 1.857, rel. 36; 49.12 deg, d 1.855, rel. 24; 58.00 deg, d 1.590, rel. 15; 58.02 deg, d 1.590, rel. 15; 58.16 deg, d 1.586, rel. 29; 58.49 deg, d 1.578, rel. 28

Atomic structure:
a b c (Å): 6.4345 6.4345 10.4513
angles (deg): 113.90 113.90 33.74
Positions (direct):
Ac1 0.0000 0.0000 0.0000
Pm1 0.3321 0.3321 0.1707
Pm2 0.3315 0.3315 0.6617
Pm3 0.6685 0.6685 0.3383
Pm4 0.6679 0.6679 0.8293
Pr1 0.0000 0.0000 0.5000